Starting from a PBE-relaxed structure, the powder diffractogram of Zn4FePt15 was simulated for a wavelength of 1.5418 Å.

Largest 12 diffraction maxima, by intensity, 2θ = 10–90°:
h k l, Position (°2θ), Rel. int.
1 1 5, 39.74, 100
2 0 0, 46.30, 33
3 1 5, 81.34, 26
2 0 10, 67.37, 21
0 0 10, 46.06, 16
1 1 15, 80.98, 13
2 2 10, 85.66, 11
2 2 0, 67.56, 11
1 1 0, 32.23, 9
1 0 0, 22.67, 7
0 0 5, 22.56, 4
2 1 0, 52.13, 3

Atomic structure:
abc: 3.9216 3.9216 19.7065
angles: 90.00 90.00 90.00
Space group P4/mmm (No. 123)
Symmetry-distinct sites (fractional):
Zn1 0.0000 0.0000 0.1003
Zn2 0.0000 0.0000 0.3001
Fe1 0.0000 0.0000 0.5000
Pt1 0.0000 0.5000 0.0000
Pt2 0.0000 0.5000 0.2008
Pt3 0.0000 0.5000 0.4022
Pt4 0.5000 0.5000 0.1005
Pt5 0.5000 0.5000 0.3015
Pt6 0.5000 0.5000 0.5000